Entry 1:
# CoRe2H8O12
Computed XRD peak list, Cu Kα X-rays. Input: DFT lattice parameters and positions (PBE+U).
Lines closer than 0.1° are merged.

Structure:
Lattice parameters (Å, degrees): 6.995 7.027 7.453 62.18 68.15 68.56
Space group P-1 (No. 2)
Inequivalent atoms, fractional coordinates:
Co (0.000, 0.000, 0.000)
Re (0.411, 0.676, 0.705)
H (0.110, 0.574, 0.277)
H (0.127, 0.311, 0.633)
H (0.214, 0.966, 0.262)
H (0.239, 0.187, 0.055)
O (0.015, 0.307, 0.763)
O (0.154, 0.075, 0.142)
O (0.294, 0.879, 0.814)
O (0.310, 0.753, 0.492)
O (0.312, 0.348, 0.382)
O (0.359, 0.423, 0.895)

Peak list (10 most intense, 2θ from 10° to 80°, in order of falling intensity)
hkl 1 1 0, 2θ = 17.79°, rel. 100
hkl 1 0 1, 2θ = 17.16°, rel. 86
hkl -1 1 1, 2θ = 25.43°, rel. 69
hkl 0 1 -1, 2θ = 23.83°, rel. 65
hkl 1 0 0, 2θ = 14.03°, rel. 63
hkl 0 2 1, 2θ = 27.40°, rel. 36
hkl 1 1 2, 2θ = 24.25°, rel. 36
hkl 0 1 2, 2θ = 26.08°, rel. 34
hkl 1 2 1, 2θ = 25.64°, rel. 34
hkl 2 1 2, 2θ = 30.04°, rel. 30

Entry 2:
# CoH2SO5
Computed XRD peak list, Cu Kα X-rays. Input: DFT lattice parameters and positions (PBE+U).
Lines closer than 0.1° are merged.

Structure:
Lattice parameters (Å, degrees): 6.862 7.860 7.577 90.00 115.75 90.00
Space group C2/c (No. 15)
Inequivalent atoms, fractional coordinates:
Co (0.250, 0.250, 0.000)
H (0.090, 0.043, 0.707)
S (0.000, 0.413, 0.250)
O (0.000, 0.117, 0.750)
O (0.019, 0.305, 0.098)
O (0.198, 0.476, 0.841)

Peak list (10 most intense, 2θ from 10° to 80°, in order of falling intensity)
hkl 1 1 1, 2θ = 25.89°, rel. 100
hkl 0 2 2, 2θ = 34.82°, rel. 57
hkl 1 1 -1, 2θ = 18.45°, rel. 55
hkl 2 0 -2, 2θ = 29.38°, rel. 45
hkl 1 1 0, 2θ = 18.26°, rel. 40
hkl 0 2 1, 2θ = 26.17°, rel. 35
hkl 1 1 -2, 2θ = 26.29°, rel. 23
hkl 3 1 -1, 2θ = 41.53°, rel. 21
hkl 2 2 -4, 2θ = 54.12°, rel. 20
hkl 2 2 -1, 2θ = 34.71°, rel. 18

Entry 3:
# CoH2SeO5
Computed XRD peak list, Cu Kα X-rays. Input: DFT lattice parameters and positions (PBE+U).
Lines closer than 0.1° are merged.

Structure:
Lattice parameters (Å, degrees): 7.079 8.198 7.689 90.00 115.75 90.00
Space group C2/c (No. 15)
Inequivalent atoms, fractional coordinates:
Co (0.250, 0.250, 0.000)
H (0.082, 0.050, 0.703)
Se (0.000, 0.418, 0.250)
O (0.000, 0.122, 0.750)
O (0.012, 0.302, 0.077)
O (0.218, 0.465, 0.847)

Peak list (10 most intense, 2θ from 10° to 80°, in order of falling intensity)
hkl 1 1 1, 2θ = 25.21°, rel. 100
hkl 1 1 0, 2θ = 17.62°, rel. 63
hkl 0 2 2, 2θ = 33.89°, rel. 41
hkl 1 1 -2, 2θ = 25.75°, rel. 35
hkl 2 0 -2, 2θ = 28.66°, rel. 35
hkl 2 2 -1, 2θ = 33.46°, rel. 24
hkl 1 3 -1, 2θ = 35.88°, rel. 23
hkl 2 2 -4, 2θ = 52.91°, rel. 18
hkl 3 1 -1, 2θ = 40.13°, rel. 16
hkl 2 2 1, 2θ = 42.20°, rel. 15